1.
Starting from a structure optimized by DFT (GGA-PBE), the X-ray powder pattern of NaCu2O2 was simulated for Cu Kα.
Neutral-atom scattering factors, no anomalous dispersion.

Structure:
```
NaCu2O2
1.0
6.1873 0.0000 0.0000
0.0000 2.9780 0.0000
0.0000 0.0000 13.4409
Na Cu O
4 8 8
direct
0.1612 0.2500 0.0755
0.3388 0.7500 0.5755
0.6612 0.2500 0.4245
0.8388 0.7500 0.9245
0.0994 0.2500 0.7588
0.1461 0.2500 0.3843
0.3539 0.7500 0.8843
0.4006 0.7500 0.2588
0.5994 0.2500 0.7412
0.6461 0.2500 0.1157
0.8539 0.7500 0.6157
0.9006 0.7500 0.2412
0.0669 0.2500 0.6223
0.1360 0.2500 0.8967
0.3640 0.7500 0.3967
0.4331 0.7500 0.1223
0.5669 0.2500 0.8777
0.6360 0.2500 0.6033
0.8640 0.7500 0.1033
0.9331 0.7500 0.3777
```

Top 12 peaks for 2θ from 15° to 90°, low angle first:
(hkl), 2θ/deg, Rel. int.
1 0 1, 15.8, 13
1 0 2, 19.5, 52
2 0 3, 35.3, 69
0 1 3, 36.2, 69
0 0 6, 40.3, 27
2 1 0, 42.1, 100
2 0 5, 44.7, 13
2 1 6, 59.7, 27
0 2 0, 62.4, 16
2 1 8, 71.3, 15
4 1 3, 71.9, 16
2 2 3, 73.7, 15

2.
Starting from a structure optimized by DFT (GGA-PBE), the X-ray powder pattern of HoSc5Tl4 was simulated for Cu Kα.
Neutral-atom scattering factors, no anomalous dispersion.

Structure:
```
HoSc5Tl4
1.0
3.4402 0.0000 0.0000
0.0000 3.4402 0.0000
0.0000 0.0000 20.5644
Ho Sc Tl
1 5 4
direct
0.0000 0.0000 0.0000
0.5000 0.5000 0.1135
0.5000 0.5000 0.3055
0.5000 0.5000 0.5000
0.5000 0.5000 0.6945
0.5000 0.5000 0.8865
0.0000 0.0000 0.2086
0.0000 0.0000 0.4028
0.0000 0.0000 0.5972
0.0000 0.0000 0.7914
```

Top 12 peaks for 2θ from 15° to 90°, low angle first:
(hkl), 2θ/deg, Rel. int.
0 0 5, 21.6, 30
1 0 0, 25.9, 40
1 0 5, 34.0, 100
1 1 0, 37.0, 45
1 1 5, 43.2, 21
0 0 10, 44.0, 11
1 0 10, 51.8, 12
2 0 0, 53.3, 14
2 0 5, 58.1, 9
1 1 10, 58.8, 18
2 1 5, 64.7, 31
2 0 10, 71.5, 10

- Which formula does entry 2 have?
  HoSc5Tl4